No. 1
Computed powder diffraction line list of Rb2LiMn3F12 for Cu Kα (weighted mean of Kα1 and Kα2), from DFT lattice parameters and positions (GGA+U).
Neutral-atom scattering factors, no anomalous dispersion.

Principal peaks in the range 10° ≤ 2θ ≤ 90°, by intensity:
Position (°2θ)  intensity  (hkl)
27.91  100  1 2 -1
28.26  72  1 0 -3
29.00  49  -2 1 1
28.42  45  1 2 1
24.53  31  1 -1 2
25.37  30  2 0 0
28.05  29  1 -2 1
24.83  29  1 1 2
47.92  25  0 4 0
17.10  21  0 0 2
15.51  19  1 0 1
45.95  18  3 0 -3

Crystal structure
```
Rb2LiMn3F12
1.0
7.0268 0.0000 0.0000
-0.0595 7.5941 0.0000
-0.4090 -0.1245 10.3885
Rb Li Mn F
4 2 6 24
direct
0.0055 0.2478 0.3873
0.4848 0.2460 0.1288
0.5152 0.7540 0.8712
0.9945 0.7522 0.6127
0.2112 0.7399 0.2605
0.7888 0.2601 0.7395
0.0000 0.0000 0.0000
0.0000 0.5000 0.0000
0.2986 0.2481 0.7754
0.5000 0.0000 0.5000
0.5000 0.5000 0.5000
0.7014 0.7519 0.2246
0.0546 0.2624 0.7043
0.0928 0.7349 0.0061
0.1188 0.0363 0.1601
0.1344 0.4589 0.1540
0.2346 0.0596 0.9214
0.2548 0.4278 0.9001
0.2690 0.5553 0.4170
0.2743 0.9240 0.4173
0.3411 0.0518 0.6656
0.3716 0.4631 0.6539
0.4476 0.7600 0.1665
0.4511 0.2309 0.4361
0.5489 0.7691 0.5639
0.5524 0.2400 0.8335
0.6284 0.5369 0.3461
0.6589 0.9482 0.3344
0.7257 0.0760 0.5827
0.7310 0.4447 0.5830
0.7452 0.5722 0.0999
0.7654 0.9404 0.0786
0.8656 0.5411 0.8460
0.8812 0.9637 0.8399
0.9072 0.2651 0.9939
0.9454 0.7376 0.2957
```

---

No. 2
Computed powder diffraction line list of LiMnVF6 for Cu Kα (weighted mean of Kα1 and Kα2), from DFT lattice parameters and positions (GGA+U).
Neutral-atom scattering factors, no anomalous dispersion.

Principal peaks in the range 10° ≤ 2θ ≤ 90°, by intensity:
Position (°2θ)  intensity  (hkl)
27.57  100  1 1 1
52.68  44  3 0 2
40.08  40  0 3 1
20.05  32  1 1 0
45.21  21  2 2 1
62.97  18  3 3 0
58.49  17  4 1 1
62.43  8  1 1 3
35.10  7  3 0 0
43.32  7  1 1 2
86.52  7  0 6 2
84.31  6  1 4 3

Crystal structure
```
LiMnVF6
1.0
8.8559 0.0000 0.0000
-4.4279 7.6694 0.0000
0.0000 0.0000 4.7380
Li Mn V F
3 3 3 18
direct
0.0000 0.0000 0.0000
0.3333 0.6667 0.5013
0.6667 0.3333 0.4987
0.0000 0.6460 0.0000
0.3540 0.3540 0.0000
0.6460 0.0000 0.0000
0.0000 0.3144 0.5000
0.3144 0.0000 0.5000
0.6856 0.6856 0.5000
0.1082 0.2211 0.2432
0.1093 0.5309 0.2707
0.1129 0.8918 0.2432
0.2193 0.4391 0.7247
0.2197 0.7807 0.7247
0.2211 0.1082 0.7568
0.4216 0.8907 0.2707
0.4391 0.2193 0.2753
0.4691 0.5784 0.2707
0.5309 0.1093 0.7293
0.5609 0.7803 0.7247
0.5784 0.4691 0.7293
0.7789 0.8871 0.2432
0.7803 0.5609 0.2753
0.7807 0.2197 0.2753
0.8871 0.7789 0.7568
0.8907 0.4216 0.7293
0.8918 0.1129 0.7568
```

---

No. 3
Computed powder diffraction line list of LiMnVF6 for Cu Kα (weighted mean of Kα1 and Kα2), from DFT lattice parameters and positions (GGA+U).
Neutral-atom scattering factors, no anomalous dispersion.

Principal peaks in the range 10° ≤ 2θ ≤ 90°, by intensity:
Position (°2θ)  intensity  (hkl)
26.11  100  1 1 0
51.12  69  2 1 3
20.62  58  1 0 1
38.67  46  1 1 3
33.72  35  1 0 3
64.95  31  3 0 3
53.72  25  2 2 0
41.89  22  2 1 0
18.57  20  0 0 2
32.24  17  1 1 2
42.96  14  2 1 1
57.91  14  0 0 6

Crystal structure
```
LiMnVF6
1.0
4.8260 0.0000 0.0000
0.0000 4.8260 0.0000
0.0000 0.0000 9.5544
Li Mn V F
2 2 2 12
direct
0.0000 0.0000 0.0000
0.5000 0.5000 0.5000
0.0000 0.0000 0.6670
0.5000 0.5000 0.1670
0.0000 0.0000 0.3322
0.5000 0.5000 0.8322
0.1896 0.1896 0.1739
0.1936 0.1936 0.4880
0.2108 0.2108 0.8346
0.2892 0.7108 0.3346
0.3064 0.6936 0.9880
0.3104 0.6896 0.6739
0.6896 0.3104 0.6739
0.6936 0.3064 0.9880
0.7108 0.2892 0.3346
0.7892 0.7892 0.8346
0.8064 0.8064 0.4880
0.8104 0.8104 0.1739
```